Record 1
Sr5Mn2N6: computed powder X-ray diffraction pattern (Cu Kα, 1.54184 Å), based on the GGA-PBE geometry in the Materials Project.
Lines closer than 0.1° are merged.

Top 6 peaks for 2θ from 5° to 70°, low angle first:
| 2theta | I_rel | h k l |
| --- | --- | --- |
| 27.18 | 522 | 0 0 4 |
| 27.76 | 342 | 0 2 1 |
| 30.21 | 507 | 0 2 2 |
| 31.89 | 1000 | 3 1 1 |
| 32.98 | 948 | 3 1 -3 |
| 33.92 | 754 | 0 2 3 |

Cell and atoms:
a b c (Å): 10.2824 6.6289 13.4191
angles (deg): 90.00 102.01 90.00
Space group C2/c (No. 15)
Inequivalent atoms, fractional coordinates:
Sr1 0.0000 0.1168 0.2500 x4
Sr2 0.0661 0.2368 0.9965 x8
Sr3 0.1583 0.4082 0.7198 x8
Mn1 0.2260 0.3677 0.4305 x8
N1 0.0616 0.4513 0.3747 x8
N2 0.1511 0.0456 0.6397 x8
N3 0.2200 0.0730 0.4324 x8

***

Record 2
Sr3MnN3: computed powder X-ray diffraction pattern (Cu Kα, 1.54184 Å), based on the GGA-PBE geometry in the Materials Project.
Lines closer than 0.1° are merged.

Top 6 peaks for 2θ from 5° to 70°, low angle first:
| 2theta | I_rel | h k l |
| --- | --- | --- |
| 28.64 | 1000 | 1 1 1 |
| 31.66 | 934 | 2 0 1 |
| 34.03 | 578 | 0 0 2 |
| 35.46 | 597 | 1 2 0 |
| 49.97 | 421 | 1 2 2 |
| 63.02 | 246 | 2 3 1 |

Cell and atoms:
a b c (Å): 7.7338 7.7338 5.2688
angles (deg): 90.00 90.00 120.00
Space group P6_3/m (No. 176)
Inequivalent atoms, fractional coordinates:
Sr1 0.0854 0.3608 0.2500 x6
Mn1 0.3333 0.6667 0.7500 x2
N1 0.1208 0.4313 0.7500 x6

***

Record 3
Sr2MnN2: computed powder X-ray diffraction pattern (Cu Kα, 1.54184 Å), based on the GGA-PBE geometry in the Materials Project.
Lines closer than 0.1° are merged.

Top 6 peaks for 2θ from 5° to 70°, low angle first:
| 2theta | I_rel | h k l |
| --- | --- | --- |
| 28.99 | 319 | 0 0 4 |
| 29.46 | 489 | 1 3 1 |
| 32.09 | 1000 | 1 3 2 |
| 32.91 | 712 | 2 0 0 |
| 34.36 | 331 | 1 1 4 |
| 39.82 | 277 | 0 2 5 |

Cell and atoms:
a b c (Å): 5.4433 11.4671 12.3186
angles (deg): 90.00 90.00 90.00
Space group Cmce (No. 64)
Inequivalent atoms, fractional coordinates:
Sr1 0.0000 0.0554 0.1394 x8
Sr2 0.0000 0.1405 0.5720 x8
Mn1 0.0000 0.2354 0.3340 x8
N1 0.0000 0.0837 0.3640 x8
N2 0.0000 0.1549 0.9342 x8

***

Record 4
SrMn4N4: computed powder X-ray diffraction pattern (Cu Kα, 1.54184 Å), based on the GGA-PBE geometry in the Materials Project.
Lines closer than 0.1° are merged.

Top 6 peaks for 2θ from 5° to 70°, low angle first:
| 2theta | I_rel | h k l |
| --- | --- | --- |
| 28.12 | 228 | 3 1 1 |
| 34.07 | 406 | 4 0 0 |
| 38.24 | 533 | 4 0 2 |
| 42.05 | 1000 | 4 2 2 |
| 51.36 | 219 | 5 1 3 |
| 66.47 | 396 | 6 4 2 |

Cell and atoms:
a b c (Å): 10.5256 10.5256 10.5256
angles (deg): 90.00 90.00 90.00
Space group Fm-3 (No. 202)
Inequivalent atoms, fractional coordinates:
Sr1 0.0000 0.0000 0.0000 x4
Sr2 0.2500 0.2500 0.2500 x8
Mn1 0.0000 0.1231 0.2745 x48
N1 0.0000 0.2298 0.1251 x48

***

Record 5
Ta3MnN4: computed powder X-ray diffraction pattern (Cu Kα, 1.54184 Å), based on the GGA-PBE geometry in the Materials Project.
Lines closer than 0.1° are merged.

Top 6 peaks for 2θ from 5° to 70°, low angle first:
| 2theta | I_rel | h k l |
| --- | --- | --- |
| 8.19 | 379 | 0 0 1 |
| 33.18 | 405 | 0 0 4 |
| 35.33 | 670 | 0 1 1 |
| 38.26 | 1000 | 1 0 2 |
| 42.75 | 534 | 1 0 3 |
| 61.44 | 293 | 1 1 0 |

Cell and atoms:
a b c (Å): 3.0181 3.0181 10.8000
angles (deg): 90.00 90.00 120.00
Space group P-3m1 (No. 164)
Inequivalent atoms, fractional coordinates:
Ta1 0.0000 0.0000 0.0000 x1
Ta2 0.3333 0.6667 0.2559 x2
Mn1 0.0000 0.0000 0.5000 x1
N1 0.3333 0.6667 0.6248 x2
N2 0.3333 0.6667 0.8712 x2

***

Record 6
Ta3MnN6: computed powder X-ray diffraction pattern (Cu Kα, 1.54184 Å), based on the GGA-PBE geometry in the Materials Project.
Lines closer than 0.1° are merged.

Top 6 peaks for 2θ from 5° to 70°, low angle first:
| 2theta | I_rel | h k l |
| --- | --- | --- |
| 26.93 | 244 | 1 1 1 |
| 32.52 | 311 | 0 0 2 |
| 33.72 | 1000 | 1 2 -1 |
| 33.95 | 914 | 1 2 1 |
| 35.92 | 386 | 2 0 0 |
| 48.90 | 256 | 2 0 -2 |

Cell and atoms:
a b c (Å): 5.0012 7.5863 5.5064
angles (deg): 90.00 90.72 90.00
Space group P2_1/m (No. 11)
Inequivalent atoms, fractional coordinates:
Ta1 0.0000 0.0000 0.0000 x2
Ta2 0.0500 0.2500 0.5710 x2
Ta3 0.4778 0.2500 0.0928 x2
Mn1 0.5000 0.0000 0.5000 x2
N1 0.1581 0.7500 0.0736 x2
N2 0.1891 0.0803 0.3163 x4
N3 0.3289 0.7500 0.5647 x2
N4 0.3303 0.0764 0.8109 x4

***

Record 7
Mn4Te3N2: computed powder X-ray diffraction pattern (Cu Kα, 1.54184 Å), based on the GGA-PBE geometry in the Materials Project.
Lines closer than 0.1° are merged.

Top 6 peaks for 2θ from 5° to 70°, low angle first:
| 2theta | I_rel | h k l |
| --- | --- | --- |
| 26.67 | 953 | 0 3 1 |
| 30.90 | 1000 | 1 0 3 |
| 33.85 | 744 | 2 2 1 |
| 34.19 | 881 | 1 3 2 |
| 43.25 | 589 | 1 2 4 |
| 49.55 | 312 | 3 2 2 |

Cell and atoms:
a b c (Å): 6.4233 10.6798 9.7263
angles (deg): 90.00 90.00 90.00
Space group Pnma (No. 62)
Inequivalent atoms, fractional coordinates:
Mn1 0.1551 0.2500 0.0584 x4
Mn2 0.1916 0.7500 0.0730 x4
Mn3 0.1960 0.0082 0.9395 x8
Te1 0.0744 0.5708 0.6696 x8
Te2 0.0904 0.7500 0.3440 x4
N1 0.0271 0.6198 0.0158 x8